The following is a computed powder diffractogram of Nd2Sn3Pt. It was derived from a GGA-PBE-relaxed structure, using Cu Kα (λ = 1.5418 Å).
Intensities are scaled so that the largest is 100.

Crystal structure
```
Nd2Sn3Pt
1.0
11.4677 0.0000 0.0000
0.0000 4.6863 0.0000
-4.7326 0.0000 5.7497
Nd Sn Pt
4 6 2
Direct
0.0000 0.0000 0.0000
0.1281 0.0000 0.6171
0.5000 0.5000 0.0000
0.6281 0.5000 0.6171
0.2241 0.5000 0.3952
0.3847 0.0000 0.1949
0.4429 0.0000 0.6635
0.7241 0.0000 0.3952
0.8847 0.5000 0.1949
0.9429 0.5000 0.6635
0.2393 0.5000 0.0365
0.7393 0.0000 0.0365
```

The 12 most intense peaks (10 to 90 degrees two-theta), in order of rising 2θ:
2θ/deg	d (Å)	I_rel	(hkl)
30.11	2.968	48	1 1 1
30.40	2.940	61	3 1 -1
31.11	2.875	25	0 0 2
31.68	2.824	28	4 0 -2
32.19	2.780	100	1 1 -2
32.46	2.758	86	3 1 -2
35.96	2.497	98	3 1 0
37.82	2.379	44	4 0 -3
38.42	2.343	77	0 2 0
55.01	1.669	30	4 2 -3
59.83	1.546	35	7 1 -3
67.89	1.381	22	3 3 0